Theoretical X-ray powder pattern
Compound: RbInHg2Cl4
Radiation: Cu Ka
Structure: a crystal structure in Alexandria, relaxed with PBE

Cell and atoms:
Unit cell a=6.5037 b=7.5818 c=7.8647 alpha=65.06 beta=68.68 gamma=82.64
Space group P1 (No. 1)
One atom of each set of equivalent atoms:
Rb 0.0000 0.0000 0.0000 [1 per cell]
In 0.7098 0.6567 0.8004 [1 per cell]
Hg 0.4160 0.3350 0.4990 [1 per cell]
Hg 0.9705 0.3171 0.3710 [1 per cell]
Cl 0.0799 0.6802 0.7870 [1 per cell]
Cl 0.4997 0.8210 0.0108 [1 per cell]
Cl 0.5965 0.3217 0.9504 [1 per cell]
Cl 0.6836 0.8153 0.4751 [1 per cell]

Most intense lines, 5 to 70 degrees two-theta, low angle first:
2θ (°)  d_spacing  I/Imax  h k l
12.88  6.872  61  0 1 0
14.24  6.222  64  0 1 1
21.98  4.045  100  0 1 -1
23.52  3.783  47  1 1 2
23.83  3.734  77  0 2 1
24.39  3.649  44  0 1 2
25.94  3.435  50  0 2 0
27.85  3.204  39  2 0 1
28.76  3.105  48  2 1 1
32.69  2.740  53  2 1 0